Entry 1:
Starting from a DFT-relaxed cell (PBE+U, the Materials Project), the X-ray powder pattern of FeSe2NO8 was simulated for Cu Kα.

Main lines, in order of rising 2θ (5 to 70 degrees two-theta):
9.76°, intensity 62
21.98°, intensity 100
27.89°, intensity 42
34.37°, intensity 28
35.78°, intensity 13
44.79°, intensity 20
50.43°, intensity 10
54.68°, intensity 13
57.66°, intensity 14
62.43°, intensity 17

Atomic structure:
```
data_FeSe2NO8
_symmetry_space_group_name_H-M 'P 3 2 1'
_symmetry_Int_Tables_number 150
_cell_length_a 5.2187
_cell_length_b 5.2187
_cell_length_c 9.0581
_cell_angle_alpha 90.00
_cell_angle_beta 90.00
_cell_angle_gamma 120.00
loop_
_symmetry_equiv_pos_as_xyz
'x,y,z'
'-y,x-y,z'
'-x+y,-x,z'
'y,x,-z'
'x-y,-y,-z'
'-x,-x+y,-z'
loop_
_atom_site_label
_atom_site_type_symbol
_atom_site_fract_x
_atom_site_fract_y
_atom_site_fract_z
Fe1 Fe 0.0000 0.0000 0.0000
Se1 Se 0.3333 0.6667 0.2035
N1 N 0.0000 0.0000 0.5000
O1 O 0.0741 0.3356 0.1382
O2 O 0.3333 0.6667 0.3854
```

---

Entry 2:
Starting from a DFT-relaxed cell (PBE+U, the Materials Project), the X-ray powder pattern of Y2WO6 was simulated for Cu Kα.

Main lines, in order of rising 2θ (5 to 70 degrees two-theta):
17.31°, intensity 16
18.22°, intensity 17
23.78°, intensity 20
28.46°, intensity 97
29.15°, intensity 100
33.10°, intensity 23
35.04°, intensity 17
46.67°, intensity 15
48.98°, intensity 36
63.34°, intensity 15

Atomic structure:
```
data_Y2WO6
_symmetry_space_group_name_H-M 'P 1 2/c 1'
_symmetry_Int_Tables_number 13
_cell_length_a 7.7264
_cell_length_b 5.4126
_cell_length_c 11.5107
_cell_angle_alpha 90.00
_cell_angle_beta 104.40
_cell_angle_gamma 90.00
loop_
_symmetry_equiv_pos_as_xyz
'x,y,z'
'-x,-y,-z'
'-x,y,-z+1/2'
'x,-y,z+1/2'
loop_
_atom_site_label
_atom_site_type_symbol
_atom_site_fract_x
_atom_site_fract_y
_atom_site_fract_z
Y1 Y 0.0000 0.1838 0.2500
Y2 Y 0.2948 0.3136 0.9223
Y3 Y 0.5000 0.2389 0.2500
W1 W 0.2233 0.2455 0.6146
O1 O 0.0091 0.1375 0.8862
O2 O 0.1356 0.3496 0.4525
O3 O 0.2090 0.4813 0.2276
O4 O 0.2898 0.0424 0.7719
O5 O 0.3485 0.0299 0.0693
O6 O 0.4395 0.4571 0.6050
```